This entry pairs a crystal structure of Nd2Dy5 with its simulated powder diffraction line list. Radiation: a wavelength of 1.5418 Å. Structure: a crystal structure in Alexandria, relaxed with PBE.
No peak broadening, texture or thermal motion is included.

Most intense lines, 10° ≤ 2θ ≤ 90°, low angle first:
d/Å	I (rel.)
3.159	24
2.862	24
2.765	100
2.121	16
1.823	13
1.633	14
1.538	23
1.522	16
1.217	8
1.169	9

Structural model:
```
Nd2Dy5
1.0
7.923 -3.156 0.000
7.923 3.156 0.000
-0.910 0.000 9.228
Nd Dy
4 10
Cartesian
5.959 2.098 8.237 Nd
8.521 2.098 5.605 Nd
6.415 -2.098 3.623 Nd
8.977 -2.098 0.991 Nd
2.646 1.053 7.579 Dy
5.141 1.040 4.936 Dy
7.696 1.040 2.307 Dy
3.101 -1.053 2.965 Dy
9.340 1.040 8.905 Dy
5.596 -1.040 0.322 Dy
11.835 1.053 6.263 Dy
7.240 -1.040 6.921 Dy
9.795 -1.040 4.292 Dy
12.290 -1.053 1.649 Dy
```

This entry pairs a crystal structure of Tb8TmSc3 with its simulated powder diffraction line list. Radiation: a wavelength of 1.5418 Å. Structure: a crystal structure in Alexandria, relaxed with PBE.
No peak broadening, texture or thermal motion is included.

Most intense lines, 10° ≤ 2θ ≤ 90°, low angle first:
d/Å	I (rel.)
3.457	16
2.896	40
2.792	67
2.777	61
2.760	64
2.700	100
2.670	20
2.066	16
1.948	13
1.873	17

Structural model:
```
Tb8TmSc3
1.0
5.802 0.000 0.000
2.665 8.008 0.000
2.411 2.940 7.795
Tb Tm Sc
8 1 3
Cartesian
0.000 0.000 0.000 Tb
3.036 6.927 3.281 Tb
2.498 4.275 1.144 Tb
3.275 3.631 4.459 Tb
2.673 1.048 2.292 Tb
5.725 7.936 5.573 Tb
5.417 6.111 0.673 Tb
8.799 9.849 5.093 Tb
8.417 6.232 6.587 Tm
5.457 4.614 6.859 Sc
6.172 5.134 3.806 Sc
5.400 2.752 1.950 Sc
```

This entry pairs a crystal structure of Ag2BiBr6 with its simulated powder diffraction line list. Radiation: a wavelength of 1.5418 Å. Structure: a crystal structure in Alexandria, relaxed with PBE.
No peak broadening, texture or thermal motion is included.

Most intense lines, 10° ≤ 2θ ≤ 90°, low angle first:
d/Å	I (rel.)
6.708	62
3.162	100
2.449	65
2.070	36
1.978	17
1.897	27
1.732	17
1.581	16
1.303	15
1.256	20

Structural model:
```
Ag2BiBr6
1.0
7.171 0.000 0.000
-3.585 6.210 0.000
0.000 0.000 6.708
Ag Bi Br
2 1 6
Cartesian
0.000 4.140 0.000 Ag
3.585 2.070 0.000 Ag
0.000 0.000 0.000 Bi
-1.211 2.098 1.589 Br
-2.374 4.112 5.119 Br
2.422 0.000 1.589 Br
1.211 2.098 5.119 Br
4.748 0.000 5.119 Br
2.374 4.112 1.589 Br
```

This entry pairs a crystal structure of Er2OsO6 with its simulated powder diffraction line list. Radiation: a wavelength of 1.5418 Å. Structure: a crystal structure in Alexandria, relaxed with PBE.
No peak broadening, texture or thermal motion is included.

Most intense lines, 10° ≤ 2θ ≤ 90°, low angle first:
d/Å	I (rel.)
4.585	100
4.168	45
3.635	24
2.899	100
2.840	24
2.689	39
2.667	28
2.629	88
2.404	50
1.941	34

Structural model:
```
Er2OsO6
1.0
5.428 0.000 0.000
0.000 5.679 0.000
-4.374 0.000 7.770
Er Os O
4 2 12
Cartesian
-0.002 0.494 1.797 Er
-2.189 2.346 5.682 Er
3.244 3.334 2.087 Er
1.057 5.185 5.972 Er
2.714 0.000 0.000 Os
0.527 2.840 3.885 Os
-3.317 1.007 7.345 O
-1.130 1.833 3.461 O
-2.553 4.142 7.001 O
-0.366 4.377 3.116 O
-0.969 0.477 6.054 O
1.217 2.363 2.169 O
-0.163 3.316 5.601 O
2.024 5.203 1.716 O
1.420 1.302 4.654 O
3.607 1.537 0.769 O
2.184 3.846 4.309 O
4.371 4.673 0.424 O
```

This entry pairs a crystal structure of Pr5Al2Sb with its simulated powder diffraction line list. Radiation: a wavelength of 1.5418 Å. Structure: a crystal structure in Alexandria, relaxed with PBE.
No peak broadening, texture or thermal motion is included.

Most intense lines, 10° ≤ 2θ ≤ 90°, low angle first:
d/Å	I (rel.)
3.571	40
3.038	28
2.914	100
2.695	47
2.609	50
1.982	11
1.844	28
1.781	18
1.707	22
1.458	10

Structural model:
```
Pr5Al2Sb
1.0
-4.126 4.126 7.118
4.126 -4.126 7.118
4.126 4.126 -7.118
Pr Al Sb
10 4 2
Cartesian
0.000 0.000 0.000 Pr
5.529 1.403 -2.114 Pr
1.403 2.723 -2.114 Pr
5.529 1.403 2.114 Pr
1.403 2.723 2.114 Pr
0.000 0.000 7.118 Pr
2.723 1.403 5.004 Pr
-1.403 2.723 5.004 Pr
2.723 1.403 9.232 Pr
-1.403 2.723 9.232 Pr
3.147 0.979 0.000 Al
3.147 -0.979 7.118 Al
0.979 5.105 0.000 Al
0.979 3.147 7.118 Al
0.000 0.000 3.559 Sb
0.000 0.000 10.677 Sb
```

This entry pairs a crystal structure of Pr2Ho2Sc with its simulated powder diffraction line list. Radiation: a wavelength of 1.5418 Å. Structure: a crystal structure in Alexandria, relaxed with PBE.
No peak broadening, texture or thermal motion is included.

Most intense lines, 10° ≤ 2θ ≤ 90°, low angle first:
d/Å	I (rel.)
5.572	15
3.492	26
3.218	20
2.829	48
2.797	100
2.608	23
2.599	41
2.198	15
2.188	21
1.627	16

Structural model:
```
Pr2Ho2Sc
1.0
-1.756 2.829 16.092
1.756 -2.829 16.092
1.756 2.829 -16.092
Pr Ho Sc
4 4 2
Cartesian
1.756 1.414 -6.625 Pr
0.000 1.414 5.928 Pr
1.756 1.414 10.163 Pr
0.000 1.414 22.717 Pr
1.756 -1.414 12.401 Ho
1.756 -1.414 15.463 Ho
0.000 4.243 0.629 Ho
0.000 4.243 3.691 Ho
1.756 1.414 2.326 Sc
0.000 1.414 13.765 Sc
```

This entry pairs a crystal structure of Na3Hg5Pd3 with its simulated powder diffraction line list. Radiation: a wavelength of 1.5418 Å. Structure: a crystal structure in Alexandria, relaxed with PBE.
No peak broadening, texture or thermal motion is included.

Most intense lines, 10° ≤ 2θ ≤ 90°, low angle first:
d/Å	I (rel.)
5.449	100
2.739	19
2.724	23
2.447	31
2.415	32
2.208	39
1.931	14
1.807	27
1.590	9
1.452	11

Structural model:
```
Na3Hg5Pd3
1.0
8.366 0.000 0.000
-4.183 7.245 0.000
0.000 0.000 5.449
Na Hg Pd
3 5 3
Cartesian
-1.242 2.152 0.000 Na
2.485 0.000 0.000 Na
2.941 5.094 0.000 Na
-3.047 5.278 2.724 Hg
1.136 1.967 2.724 Hg
0.000 4.830 2.724 Hg
4.183 2.415 2.724 Hg
6.095 0.000 2.724 Hg
-1.503 2.603 2.724 Pd
3.006 0.000 2.724 Pd
2.680 4.642 2.724 Pd
```

This entry pairs a crystal structure of LaSc2Al6 with its simulated powder diffraction line list. Radiation: a wavelength of 1.5418 Å. Structure: a crystal structure in Alexandria, relaxed with PBE.
No peak broadening, texture or thermal motion is included.

Most intense lines, 10° ≤ 2θ ≤ 90°, low angle first:
d/Å	I (rel.)
6.445	39
3.686	31
3.216	80
3.133	32
2.701	100
2.433	63
2.426	24
2.167	28
2.089	37
1.504	24

Structural model:
```
LaSc2Al6
1.0
-2.167 3.585 6.445
2.167 -3.585 6.445
2.167 3.585 -6.445
La Sc Al
1 2 6
Cartesian
0.000 0.000 0.000 La
2.167 0.000 4.899 Sc
0.000 3.585 1.546 Sc
2.167 1.432 -2.458 Al
2.167 2.321 0.000 Al
2.167 1.432 2.458 Al
0.000 2.153 3.987 Al
0.000 1.264 6.445 Al
0.000 2.153 8.903 Al
```

This entry pairs a crystal structure of Th7Ni3 with its simulated powder diffraction line list. Radiation: a wavelength of 1.5418 Å. Structure: a crystal structure in Alexandria, relaxed with PBE.
No peak broadening, texture or thermal motion is included.

Most intense lines, 10° ≤ 2θ ≤ 90°, low angle first:
d/Å	I (rel.)
3.219	21
2.920	37
2.858	100
2.582	38
2.511	31
2.459	21
1.674	21
1.654	26
1.643	21
1.160	18

Structural model:
```
Th7Ni3
1.0
9.834 0.000 0.000
-4.917 8.517 0.000
0.000 0.000 6.217
Th Ni
14 6
Cartesian
-1.808 4.634 0.000 Th
0.000 2.159 4.352 Th
-3.048 7.437 4.352 Th
1.869 1.079 1.243 Th
0.000 5.678 3.333 Th
1.808 4.634 0.000 Th
0.000 7.766 0.000 Th
4.917 0.751 3.108 Th
3.109 3.883 3.108 Th
4.917 2.839 0.225 Th
3.048 7.437 4.352 Th
7.965 1.079 1.243 Th
4.917 6.358 1.243 Th
6.725 3.883 3.108 Th
0.000 3.183 1.676 Ni
-2.161 6.925 1.676 Ni
2.756 1.591 4.784 Ni
2.161 6.925 1.676 Ni
7.078 1.591 4.784 Ni
4.917 5.334 4.784 Ni
```